For BaSrSmSbO6, DFT lattice parameters and positions (PBE) gives the simulated powder diffractogram in this record (copper Kα).

Peak list (8 most intense, 10° ≤ 2θ ≤ 80°, in order of falling intensity)
(2 0 2), 2θ 29.61, rel. 100; (4 2 2), 2θ 52.54, rel. 43; (4 0 0), 2θ 42.37, rel. 29; (4 4 0), 2θ 61.47, rel. 17; (0 2 6), 2θ 69.67, rel. 12; (6 0 2), 2θ 69.75, rel. 6; (4 4 4), 2θ 77.50, rel. 6; (2 0 0), 2θ 20.82, rel. 4

Cell and atoms:
Cell lengths 8.5265, 8.5328, 8.5396 Å; angles 90.00, 90.00, 90.00 degrees
Space group P222 (No. 16)
Inequivalent atoms, fractional coordinates:
Ba (0.0000, 0.0000, 0.0000) (multiplicity 1)
Ba (0.0000, 0.0000, 0.5000) (multiplicity 1)
Ba (0.5000, 0.0000, 0.0000) (multiplicity 1)
Ba (0.5000, 0.5000, 0.5000) (multiplicity 1)
Sr (0.0000, 0.5000, 0.0000) (multiplicity 1)
Sr (0.0000, 0.5000, 0.5000) (multiplicity 1)
Sr (0.5000, 0.0000, 0.5000) (multiplicity 1)
Sr (0.5000, 0.5000, 0.0000) (multiplicity 1)
Sm (0.2507, 0.2521, 0.2505) (multiplicity 4)
Sb (0.2495, 0.2537, 0.7493) (multiplicity 4)
O (0.0160, 0.2287, 0.7246) (multiplicity 4)
O (0.2201, 0.2824, 0.9831) (multiplicity 4)
O (0.2200, 0.4845, 0.7134) (multiplicity 4)
O (0.2717, 0.0180, 0.7748) (multiplicity 4)
O (0.2859, 0.2219, 0.5169) (multiplicity 4)
O (0.4824, 0.2848, 0.7823) (multiplicity 4)


For BaYSnSbO6, DFT lattice parameters and positions (PBE) gives the simulated powder diffractogram in this record (copper Kα).

Peak list (8 most intense, 10° ≤ 2θ ≤ 80°, in order of falling intensity)
(0 2 2), 2θ 29.90, rel. 100; (2 2 0), 2θ 29.97, rel. 49; (2 4 2), 2θ 53.06, rel. 43; (0 0 4), 2θ 42.73, rel. 29; (4 2 2), 2θ 53.26, rel. 21; (4 0 4), 2θ 62.26, rel. 17; (4 0 0), 2θ 43.03, rel. 14; (0 2 6), 2θ 70.35, rel. 14

Cell and atoms:
Cell lengths 8.4076, 8.4615, 8.4682 Å; angles 90.00, 90.00, 90.00 degrees
Space group Pnnn (No. 48, origin choice 2)
Inequivalent atoms, fractional coordinates:
Ba (0.2500, 0.2500, 0.2500) (multiplicity 2)
Ba (0.2500, 0.2500, 0.7500) (multiplicity 2)
Y (0.0000, 0.0000, 0.0000) (multiplicity 4)
Sn (0.2500, 0.7500, 0.2500) (multiplicity 2)
Sn (0.2500, 0.7500, 0.7500) (multiplicity 2)
Sb (0.0000, 0.0000, 0.5000) (multiplicity 4)
O (0.0264, 0.7351, 0.0416) (multiplicity 8)
O (0.0274, 0.5396, 0.7648) (multiplicity 8)
O (0.2361, 0.0288, 0.4816) (multiplicity 8)


> What is the formula in the first record?

BaSrSmSbO6


What did the first record say?
For BaSrSmSbO6, DFT lattice parameters and positions (PBE) gives the simulated powder diffractogram in this record (copper Kα).

Peak list (8 most intense, 10° ≤ 2θ ≤ 80°, in order of falling intensity)
(2 0 2), 2θ 29.61, rel. 100; (4 2 2), 2θ 52.54, rel. 43; (4 0 0), 2θ 42.37, rel. 29; (4 4 0), 2θ 61.47, rel. 17; (0 2 6), 2θ 69.67, rel. 12; (6 0 2), 2θ 69.75, rel. 6; (4 4 4), 2θ 77.50, rel. 6; (2 0 0), 2θ 20.82, rel. 4

Cell and atoms:
Cell lengths 8.5265, 8.5328, 8.5396 Å; angles 90.00, 90.00, 90.00 degrees
Space group P222 (No. 16)
Inequivalent atoms, fractional coordinates:
Ba (0.0000, 0.0000, 0.0000) (multiplicity 1)
Ba (0.0000, 0.0000, 0.5000) (multiplicity 1)
Ba (0.5000, 0.0000, 0.0000) (multiplicity 1)
Ba (0.5000, 0.5000, 0.5000) (multiplicity 1)
Sr (0.0000, 0.5000, 0.0000) (multiplicity 1)
Sr (0.0000, 0.5000, 0.5000) (multiplicity 1)
Sr (0.5000, 0.0000, 0.5000) (multiplicity 1)
Sr (0.5000, 0.5000, 0.0000) (multiplicity 1)
Sm (0.2507, 0.2521, 0.2505) (multiplicity 4)
Sb (0.2495, 0.2537, 0.7493) (multiplicity 4)
O (0.0160, 0.2287, 0.7246) (multiplicity 4)
O (0.2201, 0.2824, 0.9831) (multiplicity 4)
O (0.2200, 0.4845, 0.7134) (multiplicity 4)
O (0.2717, 0.0180, 0.7748) (multiplicity 4)
O (0.2859, 0.2219, 0.5169) (multiplicity 4)
O (0.4824, 0.2848, 0.7823) (multiplicity 4)